Structure and computed X-ray diffraction stick pattern of SrCuH6Ru (a GGA-PBE-relaxed structure; Cu Ka).

Principal peaks in the range 2θ from 15° to 90°, in order of rising 2θ:
2theta	I_rel	h k l
28.17	39	1 0 2
29.21	100	1 1 1
37.36	48	0 1 3
37.99	22	2 0 0
39.75	21	0 2 0
54.34	32	2 1 3

Cell and atoms:
Cell lengths 4.738, 4.535, 8.521 Å; angles 90.00, 90.00, 90.00 degrees
Space group Amm2 (No. 38)
Unique sites:
Sr 0.000 0.000 0.000 [2 per cell]
Cu 0.500 0.000 0.663 [2 per cell]
H 0.255 0.000 0.500 [4 per cell]
H 0.279 0.219 0.249 [8 per cell]
Ru 0.500 0.000 0.350 [2 per cell]